Record 1
For Nd2TlBr, the GGA-PBE geometry in Alexandria gives the computed X-ray diffraction stick pattern in this record (Cu Kα).
No peak broadening, texture or thermal motion is included.

Largest 8 diffraction maxima, in order of rising 2θ, 5° ≤ 2θ ≤ 70°:
2θ (°)	intensity
12.56	10
28.39	100
39.92	40
41.23	37
49.70	21
58.73	13
65.56	19
67.42	17

Structural model:
abc: 7.5135 7.5135 7.5135
angles: 34.99 34.99 34.99
Atoms (fractional coordinates):
Nd 0.2486 0.2486 0.2486
Nd 0.7514 0.7514 0.7514
Tl 0.5000 0.5000 0.5000
Br 0.0000 0.0000 0.0000

Record 2
For NdYBr2, the GGA-PBE geometry in Alexandria gives the computed X-ray diffraction stick pattern in this record (Cu Kα).
No peak broadening, texture or thermal motion is included.

Largest 8 diffraction maxima, in order of rising 2θ, 5° ≤ 2θ ≤ 70°:
2θ (°)	intensity
28.39	22
28.94	34
31.02	21
32.50	100
36.19	78
38.54	31
49.94	44
64.80	39

Structural model:
abc: 9.5795 9.5795 9.5795
angles: 21.98 21.98 21.98
Atoms (fractional coordinates):
Nd 0.0000 0.0000 0.0000
Y 0.8361 0.8361 0.8361
Br 0.2505 0.2505 0.2505
Br 0.4192 0.4192 0.4192

Record 3
For Nd3ZnBr3, the GGA-PBE geometry in Alexandria gives the computed X-ray diffraction stick pattern in this record (Cu Kα).
No peak broadening, texture or thermal motion is included.

Largest 8 diffraction maxima, in order of rising 2θ, 5° ≤ 2θ ≤ 70°:
2θ (°)	intensity
14.77	17
20.95	21
29.79	100
33.41	9
36.70	10
42.64	75
52.88	26
61.88	12

Structural model:
abc: 5.9979 5.9979 5.9979
angles: 90.00 90.00 90.00
Atoms (fractional coordinates):
Nd 0.0000 0.0000 0.5000
Nd 0.0000 0.5000 0.0000
Nd 0.5000 0.0000 0.0000
Zn 0.0000 0.0000 0.0000
Br 0.0000 0.5000 0.5000
Br 0.5000 0.0000 0.5000
Br 0.5000 0.5000 0.0000

Record 4
For NiBr3, the GGA-PBE geometry in Alexandria gives the computed X-ray diffraction stick pattern in this record (Cu Kα).
No peak broadening, texture or thermal motion is included.

Largest 8 diffraction maxima, in order of rising 2θ, 5° ≤ 2θ ≤ 70°:
2θ (°)	intensity
19.34	33
32.25	13
32.48	100
43.29	35
49.73	29
57.66	19
60.52	10
60.66	14

Structural model:
abc: 6.6528 6.6528 6.6528
angles: 57.02 57.02 57.02
Atoms (fractional coordinates):
Ni 0.0000 0.0000 0.0000
Ni 0.5000 0.5000 0.5000
Br 0.1089 0.7500 0.3911
Br 0.2500 0.6089 0.8911
Br 0.3911 0.1089 0.7500
Br 0.6089 0.8911 0.2500
Br 0.7500 0.3911 0.1089
Br 0.8911 0.2500 0.6089

Record 5
For Ni8Br, the GGA-PBE geometry in Alexandria gives the computed X-ray diffraction stick pattern in this record (Cu Kα).
No peak broadening, texture or thermal motion is included.

Largest 6 diffraction maxima, in order of rising 2θ, 5° ≤ 2θ ≤ 70°:
2θ (°)	intensity
27.68	1
32.66	1
36.25	1
43.33	100
49.90	32
51.59	15

Structural model:
abc: 5.7621 5.7621 5.7621
angles: 95.42 95.42 144.19
Atoms (fractional coordinates):
Ni 0.0000 0.3414 0.3414
Ni 0.0000 0.6586 0.6586
Ni 0.3242 0.3242 0.6484
Ni 0.3242 0.6758 0.0000
Ni 0.3414 0.0000 0.3414
Ni 0.6586 0.0000 0.6586
Ni 0.6758 0.3242 0.0000
Ni 0.6758 0.6758 0.3516
Br 0.0000 0.0000 0.0000

Record 6
For Ni3Br2, the GGA-PBE geometry in Alexandria gives the computed X-ray diffraction stick pattern in this record (Cu Kα).
No peak broadening, texture or thermal motion is included.

Largest 8 diffraction maxima, in order of rising 2θ, 5° ≤ 2θ ≤ 70°:
2θ (°)	intensity
33.46	2
33.68	2
35.35	100
48.68	37
52.96	30
57.74	7
64.24	1
65.29	15

Structural model:
abc: 8.2294 8.2294 8.2294
angles: 24.26 24.26 24.26
Atoms (fractional coordinates):
Ni 0.0000 0.0000 0.0000
Ni 0.1938 0.1938 0.1938
Ni 0.8062 0.8062 0.8062
Br 0.4001 0.4001 0.4001
Br 0.5999 0.5999 0.5999